Record 1
Na3SiSbCO7: computed XRD peak list (a wavelength of 1.5418 Å), based on the GGA-PBE geometry in the Materials Project.
Peak positions follow from Bragg's law for the DFT cell and can differ from measured ones.

a b c (Å): 5.1221 7.0723 9.4886
angles (deg): 90.00 91.04 90.00
Sites, in units of the cell vectors:
Na 0.2209 0.2500 0.4111
Na 0.2519 0.5069 0.7499
Na 0.2519 0.9931 0.7499
Na 0.7481 0.0069 0.2501
Na 0.7481 0.4931 0.2501
Na 0.7791 0.7500 0.5889
Si 0.2834 0.2500 0.0933
Si 0.7166 0.7500 0.9067
Sb 0.2338 0.7500 0.1338
Sb 0.7662 0.2500 0.8662
C 0.2748 0.7500 0.4504
C 0.7252 0.2500 0.5496
O 0.0573 0.7500 0.3742
O 0.1579 0.2500 0.9277
O 0.1908 0.0636 0.1828
O 0.1908 0.4364 0.1828
O 0.2588 0.7500 0.5872
O 0.3927 0.7500 0.9183
O 0.4998 0.2500 0.6089
O 0.5002 0.7500 0.3911
O 0.6073 0.2500 0.0817
O 0.7412 0.2500 0.4128
O 0.8092 0.5636 0.8172
O 0.8092 0.9364 0.8172
O 0.8421 0.7500 0.0723
O 0.9427 0.2500 0.6258

Main lines, most intense first (10 to 90 degrees two-theta):
| two_theta | d_spacing | I/Imax |
| --- | --- | --- |
| 25.2 | 3.536 | 1000 |
| 46.1 | 1.970 | 633 |
| 35.0 | 2.561 | 600 |
| 15.6 | 5.670 | 588 |
| 21.4 | 4.148 | 563 |
| 25.8 | 3.449 | 496 |
| 32.3 | 2.774 | 483 |
| 51.7 | 1.768 | 473 |
| 32.1 | 2.790 | 448 |
| 19.5 | 4.541 | 390 |
| 22.6 | 3.939 | 367 |
| 42.4 | 2.132 | 364 |

---

Record 2
Na2SiSbCO7: computed XRD peak list (a wavelength of 1.5418 Å), based on the GGA-PBE geometry in the Materials Project.
Peak positions follow from Bragg's law for the DFT cell and can differ from measured ones.

a b c (Å): 5.3293 6.7630 9.3049
angles (deg): 90.00 91.60 90.00
Sites, in units of the cell vectors:
Na 0.2365 0.0077 0.2277
Na 0.2365 0.4923 0.2277
Na 0.7635 0.5077 0.7723
Na 0.7635 0.9923 0.7723
Si 0.2890 0.7500 0.5784
Si 0.7110 0.2500 0.4216
Sb 0.2181 0.2500 0.6418
Sb 0.7819 0.7500 0.3582
C 0.2734 0.2500 0.9307
C 0.7266 0.7500 0.0693
O 0.0561 0.2500 0.8561
O 0.1628 0.7500 0.4126
O 0.1922 0.5572 0.6693
O 0.1922 0.9428 0.6693
O 0.2863 0.2500 0.0647
O 0.4012 0.2500 0.4312
O 0.4732 0.2500 0.8491
O 0.5268 0.7500 0.1509
O 0.5988 0.7500 0.5688
O 0.7137 0.7500 0.9353
O 0.8078 0.0572 0.3307
O 0.8078 0.4428 0.3307
O 0.8372 0.2500 0.5874
O 0.9439 0.7500 0.1439

Main lines, most intense first (10 to 90 degrees two-theta):
| two_theta | d_spacing | I/Imax |
| --- | --- | --- |
| 16.2 | 5.470 | 1000 |
| 21.2 | 4.185 | 762 |
| 25.8 | 3.456 | 604 |
| 26.4 | 3.381 | 528 |
| 32.7 | 2.739 | 460 |
| 33.6 | 2.664 | 398 |
| 19.0 | 4.680 | 343 |
| 25.1 | 3.553 | 319 |
| 33.0 | 2.717 | 318 |
| 35.7 | 2.518 | 289 |
| 47.5 | 1.916 | 247 |
| 44.2 | 2.050 | 228 |

---

Record 3
Na2SiSnCO7: computed XRD peak list (a wavelength of 1.5418 Å), based on the GGA-PBE geometry in the Materials Project.
Peak positions follow from Bragg's law for the DFT cell and can differ from measured ones.

a b c (Å): 5.3511 6.7050 9.1968
angles (deg): 90.00 91.26 90.00
Sites, in units of the cell vectors:
Na 0.2407 0.0073 0.2758
Na 0.2407 0.4927 0.2758
Na 0.7593 0.5073 0.7242
Na 0.7593 0.9927 0.7242
Si 0.2858 0.7500 0.9258
Si 0.7142 0.2500 0.0742
Sn 0.2086 0.2500 0.8607
Sn 0.7914 0.7500 0.1393
C 0.2737 0.2500 0.5782
C 0.7263 0.7500 0.4218
O 0.0505 0.2500 0.6352
O 0.1633 0.7500 0.0889
O 0.1965 0.5537 0.8328
O 0.1965 0.9463 0.8328
O 0.3141 0.2500 0.4446
O 0.4038 0.2500 0.0537
O 0.4604 0.2500 0.6781
O 0.5396 0.7500 0.3219
O 0.5962 0.7500 0.9463
O 0.6859 0.7500 0.5554
O 0.8035 0.0537 0.1672
O 0.8035 0.4463 0.1672
O 0.8367 0.2500 0.9111
O 0.9495 0.7500 0.3648

Main lines, most intense first (10 to 90 degrees two-theta):
| two_theta | d_spacing | I/Imax |
| --- | --- | --- |
| 16.4 | 5.418 | 1000 |
| 21.2 | 4.182 | 687 |
| 25.3 | 3.525 | 573 |
| 26.6 | 3.352 | 482 |
| 33.1 | 2.706 | 451 |
| 19.4 | 4.583 | 383 |
| 33.5 | 2.675 | 357 |
| 36.6 | 2.452 | 299 |
| 25.8 | 3.450 | 294 |
| 54.8 | 1.676 | 269 |
| 32.9 | 2.723 | 251 |
| 65.7 | 1.421 | 216 |

---

Record 4
Na4Zr2TiC4O16: computed XRD peak list (a wavelength of 1.5418 Å), based on the GGA-PBE geometry in the Materials Project.
Peak positions follow from Bragg's law for the DFT cell and can differ from measured ones.

a b c (Å): 6.1579 6.1579 18.1971
angles (deg): 93.40 93.40 66.25
Sites, in units of the cell vectors:
Na 0.0431 0.1624 0.0817
Na 0.1624 0.0431 0.5817
Na 0.2852 0.4586 0.4337
Na 0.4586 0.2852 0.9337
Na 0.5414 0.7148 0.0663
Na 0.7148 0.5414 0.5663
Na 0.8376 0.9569 0.4183
Na 0.9569 0.8376 0.9183
Zr 0.1198 0.4956 0.7522
Zr 0.4956 0.1198 0.2522
Zr 0.5044 0.8802 0.7478
Zr 0.8802 0.5044 0.2478
Ti 0.1926 0.8074 0.2500
Ti 0.8074 0.1926 0.7500
C 0.0018 0.2979 0.8995
C 0.2403 0.5704 0.6166
C 0.2979 0.0018 0.3995
C 0.4296 0.7597 0.8834
C 0.5704 0.2403 0.1166
C 0.7021 0.9982 0.6005
C 0.7597 0.4296 0.3834
C 0.9982 0.7021 0.1005
O 0.0747 0.4428 0.8675
O 0.0859 0.2241 0.9625
O 0.1123 0.4484 0.6273
O 0.1323 0.1388 0.2399
O 0.1388 0.1323 0.7399
O 0.1543 0.7703 0.1354
O 0.2241 0.0859 0.4625
O 0.2297 0.8457 0.3646
O 0.2428 0.4849 0.2629
O 0.2882 0.6699 0.6784
O 0.3074 0.5954 0.5550
O 0.3301 0.7118 0.8216
O 0.4046 0.6926 0.9450
O 0.4428 0.0747 0.3675
O 0.4484 0.1123 0.1273
O 0.4849 0.2428 0.7629
O 0.5151 0.7572 0.2371
O 0.5516 0.8877 0.8727
O 0.5572 0.9253 0.6325
O 0.5954 0.3074 0.0550
O 0.6699 0.2882 0.1784
O 0.6926 0.4046 0.4450
O 0.7118 0.3301 0.3216
O 0.7572 0.5151 0.7371
O 0.7703 0.1543 0.6354
O 0.7759 0.9141 0.5375
O 0.8457 0.2297 0.8646
O 0.8612 0.8677 0.2601
O 0.8677 0.8612 0.7601
O 0.8877 0.5516 0.3727
O 0.9141 0.7759 0.0375
O 0.9253 0.5572 0.1325

Main lines, most intense first (10 to 90 degrees two-theta):
| two_theta | d_spacing | I/Imax |
| --- | --- | --- |
| 29.5 | 3.025 | 1000 |
| 26.9 | 3.309 | 902 |
| 28.3 | 3.155 | 667 |
| 33.7 | 2.661 | 576 |
| 44.3 | 2.043 | 571 |
| 32.4 | 2.767 | 548 |
| 32.0 | 2.800 | 546 |
| 30.0 | 2.983 | 517 |
| 19.6 | 4.538 | 443 |
| 39.7 | 2.269 | 434 |
| 54.8 | 1.675 | 386 |
| 29.3 | 3.045 | 298 |

---

Record 5
Na4UC3O11: computed XRD peak list (a wavelength of 1.5418 Å), based on the GGA-PBE geometry in the Materials Project.
Peak positions follow from Bragg's law for the DFT cell and can differ from measured ones.

a b c (Å): 9.4021 9.4021 6.6103
angles (deg): 90.02 90.02 120.10
Sites, in units of the cell vectors:
Na 0.0022 0.9978 0.5000
Na 0.1297 0.6928 0.2728
Na 0.3065 0.4346 0.2791
Na 0.4346 0.3065 0.7791
Na 0.5630 0.8684 0.2164
Na 0.6928 0.1297 0.7728
Na 0.8684 0.5630 0.7164
Na 0.9978 0.0022 0.0000
U 0.3330 0.6668 0.7514
U 0.6668 0.3330 0.2514
C 0.0739 0.3300 0.7273
C 0.2549 0.9253 0.7371
C 0.3300 0.0739 0.2273
C 0.6688 0.7427 0.7822
C 0.7427 0.6688 0.2822
C 0.9253 0.2549 0.2371
O 0.0369 0.2173 0.2338
O 0.0460 0.4526 0.7445
O 0.1452 0.7683 0.7130
O 0.1806 0.9619 0.2282
O 0.2173 0.0369 0.7338
O 0.2313 0.3767 0.7092
O 0.3161 0.6530 0.0323
O 0.3514 0.6820 0.4705
O 0.3767 0.2313 0.2092
O 0.4049 0.9538 0.7652
O 0.4526 0.0460 0.2445
O 0.5461 0.5932 0.7530
O 0.5932 0.5461 0.2530
O 0.6230 0.8532 0.8082
O 0.6530 0.3161 0.5323
O 0.6820 0.3514 0.9705
O 0.7683 0.1452 0.2130
O 0.7790 0.8177 0.2846
O 0.8177 0.7790 0.7846
O 0.8532 0.6230 0.3082
O 0.9538 0.4049 0.2652
O 0.9619 0.1806 0.7282

Main lines, most intense first (10 to 90 degrees two-theta):
| two_theta | d_spacing | I/Imax |
| --- | --- | --- |
| 17.3 | 5.131 | 1000 |
| 18.9 | 4.699 | 531 |
| 32.1 | 2.789 | 480 |
| 10.9 | 8.139 | 380 |
| 25.7 | 3.465 | 313 |
| 42.3 | 2.136 | 311 |
| 27.0 | 3.305 | 281 |
| 33.0 | 2.713 | 212 |
| 51.5 | 1.776 | 179 |
| 50.8 | 1.797 | 168 |
| 51.0 | 1.791 | 160 |
| 38.3 | 2.349 | 154 |